Entry 1:
Structure and simulated powder diffractogram of TbDyPbS (a structure optimized by DFT (PBE); Cu Kα (λ = 1.5418 Å)).
Kinematic intensities with the Lorentz-polarization factor, no thermal factor.

Largest 10 diffraction maxima, by angle, 2θ = 10–80°:
| h k l | 2theta | I/Imax |
| --- | --- | --- |
| 0 1 0 | 27.25 | 21 |
| 0 1 1 | 27.99 | 13 |
| 1 0 -1 | 30.77 | 46 |
| 1 1 2 | 30.89 | 23 |
| 1 0 2 | 32.76 | 100 |
| 0 0 3 | 32.97 | 27 |
| 1 0 -2 | 37.47 | 15 |
| 1 -1 0 | 47.62 | 15 |
| 2 1 1 | 47.85 | 30 |
| 2 2 3 | 59.33 | 27 |

Structural model:
```
data_TbDyPbS
_chemical_formula_sum 'Tb1 Dy1 Pb1 S1'
_cell_length_a 3.8009
_cell_length_b 3.8035
_cell_length_c 8.4381
_cell_angle_alpha 77.07
_cell_angle_beta 77.05
_cell_angle_gamma 60.29
_symmetry_space_group_name_H-M 'P 1'
_symmetry_Int_Tables_number 1
loop_
_symmetry_equiv_pos_as_xyz
'x,y,z'
loop_
_atom_site_label
_atom_site_type_symbol
_atom_site_fract_x
_atom_site_fract_y
_atom_site_fract_z
Tb1 Tb 0.0000 0.0000 0.0000
Dy1 Dy 0.2026 0.2005 0.3923
Pb1 Pb 0.4371 0.4312 0.6971
S1 S 0.6012 0.6002 0.1958
```



Entry 2:
Structure and simulated powder diffractogram of DyTm4PbS8 (a structure optimized by DFT (PBE); Cu Kα (λ = 1.5418 Å)).
Kinematic intensities with the Lorentz-polarization factor, no thermal factor.

Largest 10 diffraction maxima, by angle, 2θ = 10–80°:
| h k l | 2theta | I/Imax |
| --- | --- | --- |
| 1 0 4 | 21.97 | 21 |
| 1 1 0 | 22.10 | 19 |
| 0 1 5 | 25.80 | 32 |
| 0 2 1 | 25.93 | 100 |
| 0 2 4 | 31.36 | 18 |
| 2 1 4 | 38.72 | 14 |
| 0 3 3 | 41.15 | 43 |
| 2 0 8 | 44.80 | 36 |
| 2 2 0 | 45.07 | 36 |
| 4 0 1 | 52.69 | 15 |

Structural model:
```
data_DyTm4PbS8
_chemical_formula_sum 'Dy3 Tm12 Pb3 S24'
_cell_length_a 8.0456
_cell_length_b 8.0456
_cell_length_c 19.8803
_cell_angle_alpha 90.00
_cell_angle_beta 90.00
_cell_angle_gamma 120.00
_symmetry_space_group_name_H-M 'R 3 m'
_symmetry_Int_Tables_number 160
_symmetry_space_group_name_Hall 'R 3 -2"'
loop_
_atom_site_label
_atom_site_type_symbol
_atom_site_fract_x
_atom_site_fract_y
_atom_site_fract_z
Dy1 Dy 0.0000 0.0000 0.0000
Tm1 Tm 0.0000 0.0000 0.3768
Tm2 Tm 0.0049 0.5025 0.5029
Pb1 Pb 0.0000 0.0000 0.6282
S1 S 0.0000 0.0000 0.2444
S2 S 0.0000 0.0000 0.7674
S3 S 0.0185 0.5093 0.7557
S4 S 0.1846 0.3692 0.5794
```



Entry 3:
Structure and simulated powder diffractogram of Dy6Sb3Pb (a structure optimized by DFT (PBE); Cu Kα (λ = 1.5418 Å)).
Kinematic intensities with the Lorentz-polarization factor, no thermal factor.

Largest 10 diffraction maxima, by angle, 2θ = 10–80°:
| h k l | 2theta | I/Imax |
| --- | --- | --- |
| 2 2 1 | 23.17 | 45 |
| 3 1 1 | 27.43 | 33 |
| 1 3 2 | 30.75 | 38 |
| 2 2 2 | 30.95 | 96 |
| 2 4 1 | 31.28 | 44 |
| 3 3 1 | 32.40 | 100 |
| 0 4 2 | 33.78 | 42 |
| 3 1 2 | 34.33 | 46 |
| 3 5 0 | 38.88 | 38 |
| 6 0 0 | 49.10 | 37 |

Structural model:
```
data_Dy6Sb3Pb
_chemical_formula_sum 'Dy24 Sb12 Pb4'
_cell_length_a 11.1248
_cell_length_b 14.8308
_cell_length_c 7.5970
_cell_angle_alpha 90.00
_cell_angle_beta 90.00
_cell_angle_gamma 90.00
_symmetry_space_group_name_H-M 'C m c 21'
_symmetry_Int_Tables_number 36
loop_
_symmetry_equiv_pos_as_xyz
'x,y,z'
'-x,-y,z+1/2'
'-x,y,z'
'x,-y,z+1/2'
'x+1/2,y+1/2,z'
'-x+1/2,-y+1/2,z+1/2'
'-x+1/2,y+1/2,z'
'x+1/2,-y+1/2,z+1/2'
loop_
_atom_site_label
_atom_site_type_symbol
_atom_site_fract_x
_atom_site_fract_y
_atom_site_fract_z
Dy1 Dy 0.0000 0.0041 0.0000
Dy2 Dy 0.0000 0.2468 0.1376
Dy3 Dy 0.1730 0.4477 0.1058
Dy4 Dy 0.1982 0.2760 0.5017
Sb1 Sb 0.0000 0.4180 0.4162
Sb2 Sb 0.1835 0.0985 0.2722
Pb1 Pb 0.0000 0.1754 0.7524
```



Entry 4:
Structure and simulated powder diffractogram of Dy10Sb3Pb3 (a structure optimized by DFT (PBE); Cu Kα (λ = 1.5418 Å)).
Kinematic intensities with the Lorentz-polarization factor, no thermal factor.

Largest 10 diffraction maxima, by angle, 2θ = 10–80°:
| h k l | 2theta | I/Imax |
| --- | --- | --- |
| 0 0 2 | 27.63 | 20 |
| 1 0 2 | 29.95 | 14 |
| 2 1 0 | 30.25 | 29 |
| 2 1 1 | 33.35 | 100 |
| 1 1 2 | 34.15 | 76 |
| 3 0 0 | 34.42 | 43 |
| 2 2 2 | 49.27 | 19 |
| 2 1 3 | 52.61 | 28 |
| 5 0 2 | 66.45 | 19 |
| 3 0 4 | 68.37 | 17 |

Structural model:
```
data_Dy10Sb3Pb3
_chemical_formula_sum 'Dy10 Sb3 Pb3'
_cell_length_a 9.0261
_cell_length_b 9.0261
_cell_length_c 6.4563
_cell_angle_alpha 90.00
_cell_angle_beta 90.00
_cell_angle_gamma 120.00
_symmetry_space_group_name_H-M 'P -6 2 m'
_symmetry_Int_Tables_number 189
_symmetry_space_group_name_Hall 'P -6 -2'
loop_
_atom_site_label
_atom_site_type_symbol
_atom_site_fract_x
_atom_site_fract_y
_atom_site_fract_z
Dy1 Dy 0.0000 0.2403 0.0000
Dy2 Dy 0.0000 0.7583 0.5000
Dy3 Dy 0.3333 0.6667 0.2533
Sb1 Sb 0.0000 0.3902 0.5000
Pb1 Pb 0.0000 0.6070 0.0000
```



Entry 5:
Structure and simulated powder diffractogram of Dy3ScPb2 (a structure optimized by DFT (PBE); Cu Kα (λ = 1.5418 Å)).
Kinematic intensities with the Lorentz-polarization factor, no thermal factor.

Largest 10 diffraction maxima, by angle, 2θ = 10–80°:
| h k l | 2theta | I/Imax |
| --- | --- | --- |
| 1 1 0 | 27.99 | 48 |
| 1 1 1 | 29.97 | 60 |
| 0 0 3 | 31.84 | 34 |
| 1 1 2 | 35.30 | 100 |
| 1 0 3 | 37.72 | 27 |
| 2 0 0 | 40.00 | 59 |
| 2 0 3 | 52.01 | 35 |
| 2 2 0 | 57.86 | 20 |
| 1 1 5 | 62.29 | 18 |
| 3 1 2 | 69.63 | 29 |

Structural model:
```
data_Dy3ScPb2
_chemical_formula_sum 'Dy3 Sc1 Pb2'
_cell_length_a 4.5076
_cell_length_b 4.5076
_cell_length_c 8.4319
_cell_angle_alpha 90.00
_cell_angle_beta 90.00
_cell_angle_gamma 90.00
_symmetry_space_group_name_H-M 'P -4 m 2'
_symmetry_Int_Tables_number 115
loop_
_symmetry_equiv_pos_as_xyz
'x,y,z'
'y,-x,-z'
'-x,-y,z'
'-y,x,-z'
'-x,y,z'
'-y,-x,-z'
'x,-y,z'
'y,x,-z'
loop_
_atom_site_label
_atom_site_type_symbol
_atom_site_fract_x
_atom_site_fract_y
_atom_site_fract_z
Dy1 Dy 0.0000 0.0000 0.0000
Dy2 Dy 0.0000 0.5000 0.6593
Sc1 Sc 0.5000 0.5000 0.0000
Pb1 Pb 0.0000 0.5000 0.2783
```



Entry 6:
Structure and simulated powder diffractogram of Dy3ScPb2 (a structure optimized by DFT (PBE); Cu Kα (λ = 1.5418 Å)).
Kinematic intensities with the Lorentz-polarization factor, no thermal factor.

Largest 10 diffraction maxima, by angle, 2θ = 10–80°:
| h k l | 2theta | I/Imax |
| --- | --- | --- |
| 0 4 0 | 21.12 | 22 |
| 0 0 2 | 27.96 | 47 |
| 2 2 0 | 29.95 | 59 |
| 0 6 0 | 31.94 | 32 |
| 0 4 2 | 35.31 | 100 |
| 1 6 1 | 37.79 | 26 |
| 2 0 2 | 39.95 | 59 |
| 2 6 2 | 52.04 | 33 |
| 1 6 3 | 56.16 | 17 |
| 2 4 4 | 69.56 | 27 |

Structural model:
```
data_Dy3ScPb2
_chemical_formula_sum 'Dy12 Sc4 Pb8'
_cell_length_a 6.3898
_cell_length_b 16.8120
_cell_length_c 6.3755
_cell_angle_alpha 90.00
_cell_angle_beta 90.00
_cell_angle_gamma 90.00
_symmetry_space_group_name_H-M 'I b a m'
_symmetry_Int_Tables_number 72
_symmetry_space_group_name_Hall '-I 2 2c'
loop_
_atom_site_label
_atom_site_type_symbol
_atom_site_fract_x
_atom_site_fract_y
_atom_site_fract_z
Dy1 Dy 0.0000 0.0000 0.2500
Dy2 Dy 0.2496 0.1707 0.0000
Sc1 Sc 0.0000 0.5000 0.2500
Pb1 Pb 0.2430 0.3612 0.0000
```